1.
Computed powder diffraction line list of MgZn17Cd for CuKα, from a crystal structure in Alexandria, relaxed with GGA-PBE.
Neutral-atom scattering factors, no anomalous dispersion.

Top 10 peaks for 2θ from 10° to 90°, by angle:
2θ/deg	d/Å	I/Imax
34.51	2.599	36
35.56	2.525	25
40.06	2.251	56
40.26	2.240	86
40.86	2.209	25
45.21	2.006	100
45.76	1.983	48
65.72	1.421	16
69.78	1.348	28
72.77	1.300	28

Cell and atoms:
Lattice parameters (Å, degrees): 6.8218 6.8218 6.8218 82.59 82.59 82.59
Fractional coordinates of all 19 atoms:
Mg (0.0000, 0.0000, 0.0000)
Zn (0.0087, 0.0087, 0.5119)
Zn (0.0087, 0.5119, 0.0087)
Zn (0.1691, 0.6688, 0.6688)
Zn (0.3174, 0.3174, 0.8217)
Zn (0.3174, 0.8217, 0.3174)
Zn (0.3573, 0.6640, 0.9803)
Zn (0.3573, 0.9803, 0.6640)
Zn (0.5119, 0.0087, 0.0087)
Zn (0.5621, 0.5621, 0.5621)
Zn (0.6640, 0.3573, 0.9803)
Zn (0.6640, 0.9803, 0.3573)
Zn (0.6688, 0.1691, 0.6688)
Zn (0.6688, 0.6688, 0.1691)
Zn (0.7667, 0.7667, 0.7667)
Zn (0.8217, 0.3174, 0.3174)
Zn (0.9803, 0.3573, 0.6640)
Zn (0.9803, 0.6640, 0.3573)
Cd (0.2694, 0.2694, 0.2694)

2.
Computed powder diffraction line list of CrInPbCl6 for CuKα, from a crystal structure in Alexandria, relaxed with GGA-PBE.
Neutral-atom scattering factors, no anomalous dispersion.

Top 10 peaks for 2θ from 10° to 90°, by angle:
2θ/deg	d/Å	I/Imax
13.42	6.598	20
19.89	4.464	100
25.45	3.500	28
28.88	3.092	21
32.51	2.754	29
37.46	2.401	55
41.73	2.164	34
43.78	2.068	13
44.86	2.020	20
56.49	1.629	13

Cell and atoms:
Lattice parameters (Å, degrees): 6.9991 6.9991 6.5985 90.00 90.00 120.00
Fractional coordinates of all 9 atoms:
Cr (0.0000, 0.0000, 0.0000)
In (0.3333, 0.6667, 0.5000)
Pb (0.6667, 0.3333, 0.0000)
Cl (0.2769, 0.0041, 0.2122)
Cl (0.2769, 0.2729, 0.7878)
Cl (0.7271, 0.0041, 0.7878)
Cl (0.7271, 0.7231, 0.2122)
Cl (0.9959, 0.2729, 0.2122)
Cl (0.9959, 0.7231, 0.7878)

3.
Computed powder diffraction line list of Li8TlCd3 for CuKα, from a crystal structure in Alexandria, relaxed with GGA-PBE.
Neutral-atom scattering factors, no anomalous dispersion.

Top 10 peaks for 2θ from 10° to 90°, by angle:
2θ/deg	d/Å	I/Imax
20.77	4.277	100
21.84	4.070	43
32.15	2.784	38
35.16	2.552	24
35.73	2.513	16
37.67	2.388	27
41.78	2.162	38
42.26	2.138	15
48.82	1.865	23
57.96	1.591	13

Cell and atoms:
Lattice parameters (Å, degrees): 5.8345 5.8345 9.5623 116.88 116.88 61.03
Fractional coordinates of all 12 atoms:
Li (0.0904, 0.5911, 0.1816)
Li (0.1580, 0.1580, 0.3161)
Li (0.3416, 0.3416, 0.6834)
Li (0.4089, 0.9096, 0.8184)
Li (0.5911, 0.0904, 0.1816)
Li (0.6584, 0.6584, 0.3166)
Li (0.8420, 0.8420, 0.6839)
Li (0.9096, 0.4089, 0.8184)
Tl (0.0000, 0.0000, 0.5000)
Cd (0.2500, 0.7500, 0.0000)
Cd (0.5000, 0.5000, 0.5000)
Cd (0.7500, 0.2500, 0.0000)

4.
Computed powder diffraction line list of Sr3CdHg2 for CuKα, from a crystal structure in Alexandria, relaxed with GGA-PBE.
Neutral-atom scattering factors, no anomalous dispersion.

Top 10 peaks for 2θ from 10° to 90°, by angle:
2θ/deg	d/Å	I/Imax
22.03	4.035	12
31.35	2.853	51
31.51	2.839	100
44.92	2.018	19
45.40	1.998	9
55.90	1.645	39
56.20	1.637	19
65.78	1.420	12
74.37	1.275	17
75.11	1.265	8

Cell and atoms:
Lattice parameters (Å, degrees): 4.0354 4.0354 11.9873 90.00 90.00 90.00
Fractional coordinates of all 6 atoms:
Sr (0.0000, 0.0000, 0.0000)
Sr (0.0000, 0.0000, 0.3292)
Sr (0.0000, 0.0000, 0.6708)
Cd (0.5000, 0.5000, 0.5000)
Hg (0.5000, 0.5000, 0.1668)
Hg (0.5000, 0.5000, 0.8332)

5.
Computed powder diffraction line list of Cr5Ge3 for CuKα, from a crystal structure in Alexandria, relaxed with GGA-PBE.
Neutral-atom scattering factors, no anomalous dispersion.

Top 10 peaks for 2θ from 10° to 90°, by angle:
2θ/deg	d/Å	I/Imax
38.26	2.353	21
39.84	2.263	30
43.09	2.099	66
43.50	2.080	71
44.53	2.035	100
47.51	1.914	33
56.76	1.622	29
57.45	1.604	15
73.54	1.288	20
85.92	1.131	19

Cell and atoms:
Lattice parameters (Å, degrees): 6.9869 6.9869 6.9869 96.51 96.51 140.64
Fractional coordinates of all 16 atoms:
Cr (0.0787, 0.7650, 0.8437)
Cr (0.2350, 0.0787, 0.3137)
Cr (0.2500, 0.7500, 0.5000)
Cr (0.2650, 0.5787, 0.8437)
Cr (0.4213, 0.2650, 0.6863)
Cr (0.5787, 0.7350, 0.3137)
Cr (0.7350, 0.4213, 0.1563)
Cr (0.7500, 0.2500, 0.5000)
Cr (0.7650, 0.9213, 0.6863)
Cr (0.9213, 0.2350, 0.1563)
Ge (0.1663, 0.3337, 0.5000)
Ge (0.2500, 0.2500, 0.0000)
Ge (0.3337, 0.8337, 0.1673)
Ge (0.6663, 0.1663, 0.8327)
Ge (0.7500, 0.7500, 0.0000)
Ge (0.8337, 0.6663, 0.5000)

6.
Computed powder diffraction line list of NdSi2Pd3 for CuKα, from a crystal structure in Alexandria, relaxed with GGA-PBE.
Neutral-atom scattering factors, no anomalous dispersion.

Top 10 peaks for 2θ from 10° to 90°, by angle:
2θ/deg	d/Å	I/Imax
31.28	2.860	48
34.53	2.598	16
35.06	2.560	100
35.16	2.553	32
36.53	2.460	27
40.00	2.254	26
42.66	2.119	17
43.36	2.087	16
44.78	2.024	54
76.27	1.248	20

Cell and atoms:
Lattice parameters (Å, degrees): 8.4709 8.4709 9.9923 108.10 108.10 27.63
Fractional coordinates of all 18 atoms:
Nd (0.0000, 0.0000, 0.0000)
Nd (0.1534, 0.1534, 0.6938)
Nd (0.8466, 0.8466, 0.3062)
Si (0.2003, 0.2003, 0.1311)
Si (0.3637, 0.3637, 0.5525)
Si (0.4662, 0.4662, 0.2239)
Si (0.5338, 0.5338, 0.7761)
Si (0.6363, 0.6363, 0.4475)
Si (0.7997, 0.7997, 0.8689)
Pd (0.0431, 0.0431, 0.3334)
Pd (0.2206, 0.2206, 0.3934)
Pd (0.3220, 0.3220, 0.0387)
Pd (0.3723, 0.3723, 0.7981)
Pd (0.5000, 0.5000, 0.5000)
Pd (0.6277, 0.6277, 0.2019)
Pd (0.6780, 0.6780, 0.9613)
Pd (0.7794, 0.7794, 0.6066)
Pd (0.9569, 0.9569, 0.6666)

7.
Computed powder diffraction line list of HoHg2F8 for CuKα, from a crystal structure in Alexandria, relaxed with GGA-PBE.
Neutral-atom scattering factors, no anomalous dispersion.

Top 10 peaks for 2θ from 10° to 90°, by angle:
2θ/deg	d/Å	I/Imax
24.84	3.584	94
25.33	3.516	100
35.77	2.510	20
43.45	2.083	19
44.34	2.043	45
44.64	2.030	22
50.96	1.792	18
52.02	1.758	22
57.74	1.597	20
58.47	1.578	18

Cell and atoms:
Lattice parameters (Å, degrees): 7.0321 7.0321 4.4331 90.00 90.00 120.00
Fractional coordinates of all 11 atoms:
Ho (0.0000, 0.0000, 0.0000)
Hg (0.3333, 0.6667, 0.7408)
Hg (0.6667, 0.3333, 0.2592)
F (0.1518, 0.3051, 0.7449)
F (0.1534, 0.8482, 0.7449)
F (0.3051, 0.1534, 0.2551)
F (0.3333, 0.6667, 0.2411)
F (0.6667, 0.3333, 0.7589)
F (0.6949, 0.8466, 0.7449)
F (0.8466, 0.1518, 0.2551)
F (0.8482, 0.6949, 0.2551)

8.
Computed powder diffraction line list of SiP2RuN for CuKα, from a crystal structure in Alexandria, relaxed with GGA-PBE.
Neutral-atom scattering factors, no anomalous dispersion.

Top 10 peaks for 2θ from 10° to 90°, by angle:
2θ/deg	d/Å	I/Imax
11.61	7.622	100
23.34	3.811	32
32.18	2.782	28
34.32	2.613	85
40.13	2.247	49
48.53	1.876	65
57.37	1.606	30
58.74	1.572	20
77.77	1.228	12
78.38	1.220	15

Cell and atoms:
Lattice parameters (Å, degrees): 3.2122 3.2122 7.6223 90.00 90.00 120.00
Fractional coordinates of all 5 atoms:
Si (0.0000, 0.0000, 0.0000)
P (0.0000, 0.0000, 0.3113)
P (0.0000, 0.0000, 0.6887)
Ru (0.6667, 0.3333, 0.5000)
N (0.3333, 0.6667, 0.0000)

9.
Computed powder diffraction line list of AcMnB12 for CuKα, from a crystal structure in Alexandria, relaxed with GGA-PBE.
Neutral-atom scattering factors, no anomalous dispersion.

Top 10 peaks for 2θ from 10° to 90°, by angle:
2θ/deg	d/Å	I/Imax
10.66	8.302	53
21.36	4.161	62
23.90	3.723	38
30.38	2.942	100
32.25	2.776	18
37.44	2.402	42
48.91	1.862	33
49.04	1.858	17
53.95	1.700	18
67.57	1.386	17

Cell and atoms:
Lattice parameters (Å, degrees): 4.1655 4.1655 8.3023 90.00 90.00 90.00
Fractional coordinates of all 14 atoms:
Ac (0.0000, 0.0000, 0.0000)
Mn (0.0000, 0.0000, 0.5000)
B (0.2010, 0.5000, 0.2541)
B (0.2010, 0.5000, 0.7459)
B (0.5000, 0.2010, 0.2541)
B (0.5000, 0.2010, 0.7459)
B (0.5000, 0.5000, 0.1024)
B (0.5000, 0.5000, 0.4014)
B (0.5000, 0.5000, 0.5986)
B (0.5000, 0.5000, 0.8976)
B (0.5000, 0.7990, 0.2541)
B (0.5000, 0.7990, 0.7459)
B (0.7990, 0.5000, 0.2541)
B (0.7990, 0.5000, 0.7459)

10.
Computed powder diffraction line list of Ba3Mg2In2 for CuKα, from a crystal structure in Alexandria, relaxed with GGA-PBE.
Neutral-atom scattering factors, no anomalous dispersion.

Top 10 peaks for 2θ from 10° to 90°, by angle:
2θ/deg	d/Å	I/Imax
22.94	3.876	46
25.22	3.531	68
25.58	3.483	37
27.11	3.289	100
27.31	3.266	60
28.29	3.155	60
29.27	3.051	43
31.25	2.863	84
31.95	2.801	74
44.86	2.020	38

Cell and atoms:
Lattice parameters (Å, degrees): 7.0206 9.4049 16.0435 90.00 90.00 90.00
Fractional coordinates of all 28 atoms:
Ba (0.1086, 0.1065, 0.1064)
Ba (0.1086, 0.1065, 0.3936)
Ba (0.1086, 0.3935, 0.6064)
Ba (0.1086, 0.3935, 0.8936)
Ba (0.3412, 0.7488, 0.7500)
Ba (0.3412, 0.7512, 0.2500)
Ba (0.6588, 0.2488, 0.7500)
Ba (0.6588, 0.2512, 0.2500)
Ba (0.8914, 0.6065, 0.1064)
Ba (0.8914, 0.6065, 0.3936)
Ba (0.8914, 0.8935, 0.6064)
Ba (0.8914, 0.8935, 0.8936)
Mg (0.3957, 0.0426, 0.5853)
Mg (0.3957, 0.0426, 0.9147)
Mg (0.3957, 0.4574, 0.0853)
Mg (0.3957, 0.4574, 0.4147)
Mg (0.6043, 0.5426, 0.5853)
Mg (0.6043, 0.5426, 0.9147)
Mg (0.6043, 0.9574, 0.0853)
Mg (0.6043, 0.9574, 0.4147)
In (0.1804, 0.1109, 0.7500)
In (0.1804, 0.3891, 0.2500)
In (0.3400, 0.7500, 0.0000)
In (0.3400, 0.7500, 0.5000)
In (0.6600, 0.2500, 0.0000)
In (0.6600, 0.2500, 0.5000)
In (0.8196, 0.6109, 0.7500)
In (0.8196, 0.8891, 0.2500)

11.
Computed powder diffraction line list of Pm2Co12As7 for CuKα, from a crystal structure in Alexandria, relaxed with GGA-PBE.
Neutral-atom scattering factors, no anomalous dispersion.

Top 10 peaks for 2θ from 10° to 90°, by angle:
2θ/deg	d/Å	I/Imax
32.35	2.767	15
33.03	2.712	14
37.73	2.384	100
40.98	2.203	10
44.55	2.034	10
46.91	1.937	19
48.21	1.888	25
51.47	1.775	25
54.87	1.673	18
73.19	1.293	17

Cell and atoms:
Lattice parameters (Å, degrees): 9.3945 9.3945 3.7751 90.00 90.00 120.00
Fractional coordinates of all 21 atoms:
Pm (0.0000, 0.0000, 0.0000)
Pm (0.3333, 0.6667, 0.5000)
Co (0.0451, 0.2826, 0.5000)
Co (0.0999, 0.7094, 0.0000)
Co (0.2375, 0.9549, 0.5000)
Co (0.2906, 0.3906, 0.0000)
Co (0.3911, 0.1812, 0.0000)
Co (0.5442, 0.4337, 0.5000)
Co (0.5663, 0.1105, 0.5000)
Co (0.6094, 0.9001, 0.0000)
Co (0.7174, 0.7625, 0.5000)
Co (0.7901, 0.6089, 0.0000)
Co (0.8188, 0.2099, 0.0000)
Co (0.8895, 0.4558, 0.5000)
As (0.0711, 0.4457, 0.0000)
As (0.2642, 0.2248, 0.5000)
As (0.3746, 0.9289, 0.0000)
As (0.5543, 0.6254, 0.0000)
As (0.6667, 0.3333, 0.0000)
As (0.7752, 0.0394, 0.5000)
As (0.9606, 0.7358, 0.5000)

12.
Computed powder diffraction line list of Tb3Pm5Nd3 for CuKα, from a crystal structure in Alexandria, relaxed with GGA-PBE.
Neutral-atom scattering factors, no anomalous dispersion.

Top 10 peaks for 2θ from 10° to 90°, by angle:
2θ/deg	d/Å	I/Imax
30.11	2.968	100
34.83	2.575	17
34.95	2.567	34
50.18	1.818	30
59.54	1.553	7
59.58	1.552	7
59.71	1.549	29
62.58	1.484	9
81.63	1.179	12
84.29	1.149	8

Cell and atoms:
Lattice parameters (Å, degrees): 6.2865 8.1225 8.1441 107.48 97.52 104.86
Fractional coordinates of all 11 atoms:
Tb (0.0000, 0.0000, 0.0000)
Tb (0.0913, 0.3607, 0.8188)
Tb (0.7282, 0.9096, 0.5495)
Pm (0.1818, 0.7271, 0.6375)
Pm (0.2726, 0.0892, 0.4565)
Pm (0.5466, 0.1804, 0.9099)
Pm (0.8196, 0.2708, 0.3663)
Pm (0.9093, 0.6361, 0.1836)
Nd (0.3641, 0.4530, 0.2730)
Nd (0.4540, 0.8178, 0.0920)
Nd (0.6374, 0.5452, 0.7305)